Entry 1:
US: theoretical X-ray diffraction stick pattern (Cu Kα, 1.54184 Å), based on DFT lattice parameters and positions (GGA-PBE).

```
data_US
_chemical_formula_sum 'U4 S4'
_symmetry_space_group_name_H-M 'F m -3 m'
_symmetry_Int_Tables_number 225
_symmetry_space_group_name_Hall '-F 4 2 3'
_cell_length_a 5.459
_cell_length_b 5.459
_cell_length_c 5.459
_cell_angle_alpha 90.00
_cell_angle_beta 90.00
_cell_angle_gamma 90.00
loop_
_atom_site_label
_atom_site_type_symbol
_atom_site_fract_x
_atom_site_fract_y
_atom_site_fract_z
U1 U 0.000 0.000 0.000
S1 S 0.000 0.000 0.500
```

Principal peaks in the range 2θ = 10–80°, by intensity:
(hkl)	two_theta	Rel. int.
1 1 1	28.32	100
2 0 0	32.81	95
2 2 0	47.08	69
3 1 1	55.85	50
4 2 0	78.33	33
2 2 2	58.57	24
3 3 1	75.98	21
4 0 0	68.78	12

Entry 2:
BiMo6S8: theoretical X-ray diffraction stick pattern (Cu Kα, 1.54184 Å), based on DFT lattice parameters and positions (GGA-PBE).

```
data_BiMo6S8
_chemical_formula_sum 'Bi3 Mo18 S24'
_symmetry_space_group_name_H-M 'R -3'
_symmetry_Int_Tables_number 148
_symmetry_space_group_name_Hall '-R 3'
_cell_length_a 9.3009
_cell_length_b 9.3009
_cell_length_c 11.4063
_cell_angle_alpha 90.00
_cell_angle_beta 90.00
_cell_angle_gamma 120.00
loop_
_atom_site_label
_atom_site_type_symbol
_atom_site_fract_x
_atom_site_fract_y
_atom_site_fract_z
Bi1 Bi 0.0000 0.0000 0.0000
Mo1 Mo 0.0148 0.8402 0.4013
S1 S 0.0000 0.0000 0.2409
S2 S 0.0068 0.6275 0.2523
```

Principal peaks in the range 2θ = 10–80°, by intensity:
(hkl)	two_theta	Rel. int.
0 1 2	19.08	100
1 3 1	41.15	91
2 1 1	30.38	77
3 -1 4	43.49	62
2 2 3	45.74	54
0 0 3	23.41	44
3 -2 2	33.36	40
4 -3 4	52.01	35
1 0 1	13.46	24
5 -2 4	59.62	24

What did the first record say?
US: theoretical X-ray diffraction stick pattern (Cu Kα, 1.54184 Å), based on DFT lattice parameters and positions (GGA-PBE).

```
data_US
_chemical_formula_sum 'U4 S4'
_symmetry_space_group_name_H-M 'F m -3 m'
_symmetry_Int_Tables_number 225
_symmetry_space_group_name_Hall '-F 4 2 3'
_cell_length_a 5.459
_cell_length_b 5.459
_cell_length_c 5.459
_cell_angle_alpha 90.00
_cell_angle_beta 90.00
_cell_angle_gamma 90.00
loop_
_atom_site_label
_atom_site_type_symbol
_atom_site_fract_x
_atom_site_fract_y
_atom_site_fract_z
U1 U 0.000 0.000 0.000
S1 S 0.000 0.000 0.500
```

Principal peaks in the range 2θ = 10–80°, by intensity:
(hkl)	two_theta	Rel. int.
1 1 1	28.32	100
2 0 0	32.81	95
2 2 0	47.08	69
3 1 1	55.85	50
4 2 0	78.33	33
2 2 2	58.57	24
3 3 1	75.98	21
4 0 0	68.78	12